Theoretical X-ray powder pattern
Compound: Eu3Si4
Radiation: copper Kα
Structure: a DFT-relaxed cell (GGA-PBE, Alexandria)
No peak broadening, texture or thermal motion is included.

Atomic structure:
```
data_Eu3Si4
_chemical_formula_sum 'Eu6 Si8'
_cell_length_a 3.9525
_cell_length_b 4.4915
_cell_length_c 18.2038
_cell_angle_alpha 90.00
_cell_angle_beta 90.00
_cell_angle_gamma 90.00
_symmetry_space_group_name_H-M 'I m m m'
_symmetry_Int_Tables_number 71
_symmetry_space_group_name_Hall '-I 2 2'
loop_
_atom_site_label
_atom_site_type_symbol
_atom_site_fract_x
_atom_site_fract_y
_atom_site_fract_z
Eu1 Eu 0.0000 0.0000 0.0000
Eu2 Eu 0.0000 0.5000 0.3148
Si1 Si 0.0000 0.0000 0.4352
Si2 Si 0.0000 0.5000 0.1386
```

Principal peaks in the range 10 to 90 degrees two-theta, low angle first:
(0 1 1), 2θ 20.37, rel. 16
(1 0 3), 2θ 26.92, rel. 36
(0 1 5), 2θ 31.68, rel. 100
(0 2 0), 2θ 40.15, rel. 16
(0 2 6), 2θ 50.55, rel. 19
(2 1 5), 2θ 56.83, rel. 15